Tm11Pd4Pb9: computed X-ray diffraction stick pattern (Cu Kα), based on a cell relaxed with PBE.

Principal peaks in the range 15° ≤ 2θ ≤ 90°, in order of rising 2θ:
29.98°, I = 10; 31.68°, I = 9; 33.97°, I = 100; 34.86°, I = 46; 36.25°, I = 9; 37.92°, I = 10; 47.46°, I = 16; 60.22°, I = 19; 61.94°, I = 14; 71.51°, I = 9

Structural model:
Lattice parameters (Å, degrees): 13.119 13.119 3.831 90.00 90.00 112.51
Fractional coordinates of all 24 atoms:
Tm 0.000 0.000 0.000
Tm 0.081 0.417 0.000
Tm 0.163 0.837 0.000
Tm 0.309 0.309 0.000
Tm 0.372 0.628 0.000
Tm 0.417 0.081 0.000
Tm 0.583 0.919 0.000
Tm 0.628 0.372 0.000
Tm 0.691 0.691 0.000
Tm 0.837 0.163 0.000
Tm 0.919 0.583 0.000
Pd 0.250 0.450 0.500
Pd 0.450 0.250 0.500
Pd 0.550 0.750 0.500
Pd 0.750 0.550 0.500
Pb 0.063 0.215 0.500
Pb 0.145 0.628 0.500
Pb 0.215 0.063 0.500
Pb 0.372 0.855 0.500
Pb 0.500 0.500 0.500
Pb 0.628 0.145 0.500
Pb 0.785 0.937 0.500
Pb 0.855 0.372 0.500
Pb 0.937 0.785 0.500

UPd15Pb4: computed X-ray diffraction stick pattern (Cu Kα), based on a cell relaxed with PBE.

Principal peaks in the range 15° ≤ 2θ ≤ 90°, in order of rising 2θ:
21.59°, I = 10; 30.72°, I = 9; 37.86°, I = 100; 43.88°, I = 16; 44.05°, I = 33; 63.93°, I = 21; 64.06°, I = 11; 76.63°, I = 12; 76.89°, I = 25; 80.90°, I = 11

Structural model:
Lattice parameters (Å, degrees): 4.111 4.111 20.634 90.00 90.00 90.00
Fractional coordinates of all 20 atoms:
U 0.000 0.000 0.000
Pd 0.000 0.500 0.097
Pd 0.000 0.500 0.301
Pd 0.000 0.500 0.500
Pd 0.000 0.500 0.699
Pd 0.000 0.500 0.903
Pd 0.500 0.000 0.097
Pd 0.500 0.000 0.301
Pd 0.500 0.000 0.500
Pd 0.500 0.000 0.699
Pd 0.500 0.000 0.903
Pd 0.500 0.500 0.000
Pd 0.500 0.500 0.199
Pd 0.500 0.500 0.400
Pd 0.500 0.500 0.600
Pd 0.500 0.500 0.801
Pb 0.000 0.000 0.203
Pb 0.000 0.000 0.401
Pb 0.000 0.000 0.599
Pb 0.000 0.000 0.797

Y2Pd5Pb2: computed X-ray diffraction stick pattern (Cu Kα), based on a cell relaxed with PBE.

Principal peaks in the range 15° ≤ 2θ ≤ 90°, in order of rising 2θ:
17.34°, I = 29; 23.39°, I = 32; 29.26°, I = 100; 35.09°, I = 29; 37.09°, I = 63; 39.85°, I = 28; 40.77°, I = 69; 40.91°, I = 24; 41.66°, I = 34; 50.71°, I = 22

Structural model:
Lattice parameters (Å, degrees): 9.167 9.167 9.167 67.85 132.83 134.20
Fractional coordinates of all 18 atoms:
Y 0.064 0.120 0.184
Y 0.064 0.380 0.443
Y 0.936 0.620 0.557
Y 0.936 0.880 0.816
Pd 0.097 0.285 0.821
Pd 0.097 0.776 0.312
Pd 0.464 0.276 0.179
Pd 0.464 0.785 0.688
Pd 0.506 0.021 0.161
Pd 0.506 0.845 0.986
Pd 0.521 0.456 0.565
Pd 0.860 0.345 0.839
Pd 0.860 0.521 0.014
Pd 0.892 0.956 0.435
Pb 0.347 0.625 0.222
Pb 0.403 0.125 0.778
Pb 0.602 0.102 0.500
Pb 0.602 0.602 0.000

YPd14Pb: computed X-ray diffraction stick pattern (Cu Kα), based on a cell relaxed with PBE.

Principal peaks in the range 15° ≤ 2θ ≤ 90°, in order of rising 2θ:
15.40°, I = 2; 19.05°, I = 2; 38.64°, I = 100; 44.54°, I = 33; 45.68°, I = 15; 64.82°, I = 11; 65.71°, I = 20; 78.08°, I = 25; 79.73°, I = 11; 82.87°, I = 11

Structural model:
Lattice parameters (Å, degrees): 5.754 5.754 7.944 90.00 90.00 90.00
Fractional coordinates of all 16 atoms:
Y 0.000 0.000 0.000
Pd 0.000 0.000 0.500
Pd 0.000 0.500 0.000
Pd 0.000 0.500 0.500
Pd 0.250 0.250 0.258
Pd 0.250 0.250 0.742
Pd 0.250 0.750 0.258
Pd 0.250 0.750 0.742
Pd 0.500 0.000 0.000
Pd 0.500 0.000 0.500
Pd 0.500 0.500 0.500
Pd 0.750 0.250 0.258
Pd 0.750 0.250 0.742
Pd 0.750 0.750 0.258
Pd 0.750 0.750 0.742
Pb 0.500 0.500 0.000